1.
Starting from a crystal structure in the Materials Project, relaxed with GGA-PBE, the X-ray powder pattern of CeAlCu4 was simulated for Cu Kα X-rays.

Main lines, low angle first (2θ from 5° to 70°):
hkl 1 0 1, 26.9°, 3.319 Å, rel. 691; hkl 1 1 0, 31.3°, 2.860 Å, rel. 240; hkl 2 0 0, 36.3°, 2.477 Å, rel. 529; hkl 1 1 1, 37.3°, 2.409 Å, rel. 1000; hkl 0 0 2, 40.4°, 2.235 Å, rel. 282; hkl 2 1 1, 53.0°, 1.727 Å, rel. 210; hkl 2 0 2, 55.4°, 1.659 Å, rel. 299; hkl 3 0 1, 59.7°, 1.549 Å, rel. 243

Structural model:
Cell lengths 5.7200, 5.7200, 4.4699 Å; angles 90.00, 90.00, 120.00 degrees
Element x y z (fractional)
Ce  0.0000  0.0000  0.0000
Al  0.3333  0.6667  0.0000
Cu  0.5009  0.0018  0.5000
Cu  0.5009  0.4991  0.5000
Cu  0.6667  0.3333  0.0000
Cu  0.9982  0.4991  0.5000

=====

2.
Starting from a crystal structure in the Materials Project, relaxed with GGA-PBE, the X-ray powder pattern of Mg2B4H15 was simulated for Cu Kα X-rays.

Main lines, low angle first (2θ from 5° to 70°):
hkl 0 1 0, 11.0°, 8.024 Å, rel. 1000; hkl 0 1 1, 13.8°, 6.429 Å, rel. 744; hkl 1 0 1, 14.0°, 6.346 Å, rel. 733; hkl 1 0 -1, 14.3°, 6.174 Å, rel. 995; hkl 1 -1 0, 15.7°, 5.647 Å, rel. 229; hkl 1 -1 1, 18.1°, 4.906 Å, rel. 206; hkl 0 1 2, 20.3°, 4.373 Å, rel. 192; hkl 0 2 1, 23.5°, 3.788 Å, rel. 165

Structural model:
Cell lengths 7.9563, 8.0320, 10.1594 Å; angles 87.55, 88.39, 89.68 degrees
Element x y z (fractional)
Mg  0.0000  0.0000  0.0000
Mg  0.0577  0.1737  0.6786
Mg  0.4887  0.9039  0.2690
Mg  0.5494  0.3521  0.4752
B  0.1085  0.2684  0.9045
B  0.2508  0.9325  0.1201
B  0.3122  0.2019  0.5535
B  0.4202  0.1069  0.4213
B  0.5275  0.6278  0.3826
B  0.7457  0.9414  0.1321
B  0.8152  0.2850  0.5612
B  0.9326  0.9108  0.7757
H  0.0374  0.3413  0.8118
H  0.0505  0.9296  0.6947
H  0.1360  0.0184  0.1652
H  0.1754  0.1365  0.8710
H  0.1765  0.2536  0.5115
H  0.2150  0.3550  0.9470
H  0.2255  0.8748  0.0124
H  0.2656  0.8117  0.1967
H  0.2976  0.0958  0.6440
H  0.3098  0.0288  0.3704
H  0.3689  0.3238  0.6099
H  0.3736  0.0229  0.1060
H  0.3878  0.6886  0.3670
H  0.4778  0.2007  0.3293
H  0.5344  0.5041  0.3146
H  0.5377  0.0154  0.4558
H  0.5406  0.6008  0.5022
H  0.6309  0.8530  0.0988
H  0.6473  0.7141  0.3469
H  0.6877  0.2925  0.6321
H  0.7268  0.0031  0.2402
H  0.7553  0.0588  0.0506
H  0.7996  0.3290  0.4444
H  0.8212  0.8324  0.7309
H  0.8561  0.1378  0.5605
H  0.8708  0.8515  0.1398
H  0.8735  0.0456  0.8107
H  0.9165  0.3805  0.6045
H  0.9926  0.2443  0.9868
H  0.9968  0.8302  0.8680